# 1
Theoretical PXRD pattern
Compound: Zn3Fe2Si4O14
Radiation: copper Kα
Structure: the GGA+U geometry in the Materials Project
Intensities are scaled so that the largest is 100.

Crystal structure
a b c (Å): 16.478 7.805 9.895
angles (deg): 90.00 122.48 90.00
Space group C2/c (No. 15)
Asymmetric unit:
Zn (0.000, 0.106, 0.250) (multiplicity 4)
Zn (0.169, 0.389, 0.402) (multiplicity 8)
Fe (0.000, 0.294, 0.750) (multiplicity 4)
Fe (0.000, 0.500, 0.000) (multiplicity 4)
Si (0.120, 0.138, 0.103) (multiplicity 8)
Si (0.184, 0.215, 0.709) (multiplicity 8)
O (0.049, 0.090, 0.913) (multiplicity 8)
O (0.067, 0.267, 0.170) (multiplicity 8)
O (0.080, 0.463, 0.917) (multiplicity 8)
O (0.098, 0.346, 0.677) (multiplicity 8)
O (0.155, 0.021, 0.733) (multiplicity 8)
O (0.205, 0.199, 0.566) (multiplicity 8)
O (0.218, 0.223, 0.126) (multiplicity 8)

Largest 10 diffraction maxima, by angle, 2θ from 10° to 90°:
- hkl 2 0 0, 12.74°, intensity 33.0
- hkl 1 1 2, 27.86°, intensity 92.4
- hkl 3 1 -3, 29.47°, intensity 24.6
- hkl 5 1 -2, 29.72°, intensity 79.1
- hkl 2 2 1, 30.88°, intensity 100.0
- hkl 2 2 2, 38.28°, intensity 38.0
- hkl 1 3 -2, 39.46°, intensity 26.1
- hkl 6 2 -3, 41.83°, intensity 37.9
- hkl 3 3 -3, 44.41°, intensity 36.9
- hkl 3 5 0, 62.82°, intensity 30.0

***

# 2
Theoretical PXRD pattern
Compound: ZnFeSi2O6
Radiation: copper Kα
Structure: the GGA+U geometry in the Materials Project
Intensities are scaled so that the largest is 100.

Crystal structure
a b c (Å): 9.860 9.431 5.399
angles (deg): 90.00 110.93 90.00
Space group C2/c (No. 15)
Asymmetric unit:
Zn (0.000, 0.235, 0.250) (multiplicity 4)
Fe (0.000, 0.104, 0.750) (multiplicity 4)
Si (0.196, 0.417, 0.721) (multiplicity 8)
O (0.117, 0.264, 0.623) (multiplicity 8)
O (0.125, 0.084, 0.161) (multiplicity 8)
O (0.144, 0.478, 0.959) (multiplicity 8)

Largest 10 diffraction maxima, by angle, 2θ from 10° to 90°:
- hkl 1 1 0, 13.44°, intensity 54.8
- hkl 2 0 0, 19.27°, intensity 81.7
- hkl 2 2 0, 27.07°, intensity 73.4
- hkl 2 2 -1, 28.32°, intensity 82.6
- hkl 3 1 0, 30.63°, intensity 78.3
- hkl 1 3 -1, 33.15°, intensity 100.0
- hkl 0 0 2, 35.61°, intensity 63.1
- hkl 3 3 -1, 40.39°, intensity 65.0
- hkl 5 3 -1, 54.97°, intensity 39.3
- hkl 5 3 1, 66.99°, intensity 50.6